[1]
Structure and simulated powder X-ray diffraction pattern of Tb6Pm6Nd (a structure optimized by DFT (PBE); λ = 1.5418 Å (Cu Kα)).
Intensities are scaled so that the largest is 100.

Largest 12 diffraction maxima, by intensity, 2θ = 10–80°:
2θ (°), I (rel.), (hkl)
33.86, 100, 2 2 0
29.78, 93, 0 0 2
28.55, 77, 1 3 -1
31.97, 38, 2 0 -2
31.37, 32, 2 2 -1
34.73, 30, 1 3 1
31.66, 29, 0 4 0
58.58, 23, 1 5 -3
35.79, 22, 2 2 -2
51.54, 21, 2 0 2
41.88, 20, 1 1 -3
38.38, 20, 0 3 2

Structure:
```
data_Tb6Pm6Nd
_chemical_formula_sum 'Tb6 Pm6 Nd1'
_space_group_name_H-M_alt 'P 1 2/m 1'
_space_group_IT_number 10
_space_group_name_Hall '-P 2y'
_cell_length_a 6.6269
_cell_length_b 11.3062
_cell_length_c 6.6286
_cell_angle_alpha 90.00
_cell_angle_beta 115.30
_cell_angle_gamma 90.00
loop_
_atom_site_label
_atom_site_fract_x
_atom_site_fract_y
_atom_site_fract_z
Tb1 0.0000 0.1996 0.0000
Tb2 0.0000 0.2746 0.5000
Tb3 0.5000 0.2740 0.0000
Pm1 0.1439 0.5000 0.8584
Pm2 0.2320 0.0000 0.7676
Pm3 0.5000 0.1659 0.5000
Nd1 0.5000 0.5000 0.5000
```

=====

[2]
Structure and simulated powder X-ray diffraction pattern of SiTcNiCl (a structure optimized by DFT (PBE); λ = 1.5418 Å (Cu Kα)).
Intensities are scaled so that the largest is 100.

Largest 12 diffraction maxima, by intensity, 2θ = 10–80°:
2θ (°), I (rel.), (hkl)
25.77, 100, 0 1 0
43.29, 79, 1 1 1
34.17, 72, 1 0 1
13.50, 69, 0 0 1
49.83, 66, 1 1 2
49.30, 43, 0 1 3
41.28, 32, 0 0 3
41.88, 28, 1 0 2
52.98, 22, 0 2 0
37.81, 22, 0 1 2
64.56, 21, 1 2 1
77.89, 13, 0 1 5

Structure:
```
data_SiTcNiCl
_chemical_formula_sum 'Si1 Tc1 Ni1 Cl1'
_space_group_name_H-M_alt 'P m m 2'
_space_group_IT_number 25
_space_group_name_Hall 'P 2 -2'
_cell_length_a 2.8630
_cell_length_b 3.4570
_cell_length_c 6.5612
_cell_angle_alpha 90.00
_cell_angle_beta 90.00
_cell_angle_gamma 90.00
loop_
_atom_site_label
_atom_site_fract_x
_atom_site_fract_y
_atom_site_fract_z
Si1 0.0000 0.0000 0.0000
Tc1 0.0000 0.5000 0.7507
Ni1 0.5000 0.5000 0.1079
Cl1 0.5000 0.5000 0.4582
```

=====

[3]
Structure and simulated powder X-ray diffraction pattern of Ho7Tm (a structure optimized by DFT (PBE); λ = 1.5418 Å (Cu Kα)).
Intensities are scaled so that the largest is 100.

Largest 6 diffraction maxima, by intensity, 2θ = 10–80°:
2θ (°), I (rel.), (hkl)
31.22, 100, 2 2 2
36.21, 51, 4 0 0
62.04, 43, 6 2 2
52.14, 36, 4 4 0
65.13, 12, 4 4 4
76.85, 6, 8 0 0

Structure:
```
data_Ho7Tm
_chemical_formula_sum 'Ho28 Tm4'
_space_group_name_H-M_alt 'F m -3 m'
_space_group_IT_number 225
_space_group_name_Hall '-F 4 2 3'
_cell_length_a 9.9232
_cell_length_b 9.9232
_cell_length_c 9.9232
_cell_angle_alpha 90.00
_cell_angle_beta 90.00
_cell_angle_gamma 90.00
loop_
_atom_site_label
_atom_site_fract_x
_atom_site_fract_y
_atom_site_fract_z
Ho1 0.0000 0.0000 0.0000
Ho2 0.0000 0.2500 0.2500
Tm1 0.0000 0.0000 0.5000
```

=====

[4]
Structure and simulated powder X-ray diffraction pattern of Zr3B2Pt2N3 (a structure optimized by DFT (PBE); λ = 1.5418 Å (Cu Kα)).
Intensities are scaled so that the largest is 100.

Largest 12 diffraction maxima, by intensity, 2θ = 10–80°:
2θ (°), I (rel.), (hkl)
36.45, 100, 2 0 0
39.92, 71, 2 0 -3
18.18, 41, 0 0 2
36.85, 41, 0 0 4
50.67, 38, 2 2 -1
45.19, 28, 0 2 3
59.66, 27, 2 0 4
33.86, 26, 1 1 2
27.42, 24, 0 0 3
28.32, 18, 1 1 -2
64.33, 16, 2 2 -5
64.22, 16, 2 2 3

Structure:
```
data_Zr3B2Pt2N3
_chemical_formula_sum 'Zr6 B4 Pt4 N6'
_space_group_name_H-M_alt 'C 1 2/m 1'
_space_group_IT_number 12
_space_group_name_Hall '-C 2y'
_cell_length_a 5.0942
_cell_length_b 5.0970
_cell_length_c 10.0782
_cell_angle_alpha 90.00
_cell_angle_beta 104.51
_cell_angle_gamma 90.00
loop_
_atom_site_label
_atom_site_fract_x
_atom_site_fract_y
_atom_site_fract_z
Zr1 0.0000 0.0000 0.0000
Zr2 0.1137 0.5000 0.2299
B1 0.1831 0.0000 0.3667
Pt1 0.0000 0.2501 0.5000
N1 0.0000 0.5000 0.0000
N2 0.1099 0.0000 0.2198
```

=====

[5]
Structure and simulated powder X-ray diffraction pattern of KTm2MgTe4 (a structure optimized by DFT (PBE); λ = 1.5418 Å (Cu Kα)).
Intensities are scaled so that the largest is 100.

Largest 12 diffraction maxima, by intensity, 2θ = 10–80°:
2θ (°), I (rel.), (hkl)
29.23, 100, 1 3 2
27.47, 79, 1 3 1
25.69, 67, 0 2 4
11.32, 64, 0 0 2
40.16, 61, 1 5 3
40.75, 42, 2 0 0
13.06, 36, 0 2 1
31.97, 36, 1 3 3
39.91, 35, 0 6 3
30.98, 34, 0 2 5
35.66, 33, 1 1 5
26.86, 29, 1 3 0

Structure:
```
data_KTm2MgTe4
_chemical_formula_sum 'K4 Tm8 Mg4 Te16'
_space_group_name_H-M_alt 'C m c m'
_space_group_IT_number 63
_space_group_name_Hall '-C 2c 2'
_cell_length_a 4.4285
_cell_length_b 15.0394
_cell_length_c 15.6315
_cell_angle_alpha 90.00
_cell_angle_beta 90.00
_cell_angle_gamma 90.00
loop_
_atom_site_label
_atom_site_fract_x
_atom_site_fract_y
_atom_site_fract_z
K1 0.0000 0.1237 0.2500
Tm1 0.0000 0.3752 0.0570
Mg1 0.0000 0.1591 0.7500
Te1 0.0000 0.0000 0.0000
Te2 0.0000 0.2644 0.6070
Te3 0.0000 0.4482 0.2500
```